Record 1
Structure and calculated XRD peak list of LiTb12Al4O3 (a PBE-relaxed structure; Cu Kα).
Peak positions follow from Bragg's law for the DFT cell and can differ from measured ones.

Crystal structure
Lattice parameters (Å, degrees): 9.754 9.754 9.754 90.00 90.00 90.00
Space group Im-3m (No. 229)
Asymmetric unit:
Li: 0.000 0.000 0.000 x2
Tb: 0.000 0.000 0.263 x12
Tb: 0.000 0.250 0.500 x12
Al: 0.250 0.250 0.250 x8
O: 0.000 0.000 0.500 x6

Most intense lines, 2θ from 10° to 90°, sorted by position:
2θ (°)	I (rel.)	h k l
18.19	266	2 0 0
25.84	139	2 2 0
31.78	1000	2 2 2
36.86	561	4 0 0
41.40	124	4 2 0
45.56	69	4 2 2
53.12	385	4 4 0
56.62	61	6 0 0
63.24	409	6 2 2
66.40	128	4 4 4
87.11	169	6 6 2
89.97	171	8 4 0

Record 2
Structure and calculated XRD peak list of LiAl4Tl4O12 (a PBE-relaxed structure; Cu Kα).
Peak positions follow from Bragg's law for the DFT cell and can differ from measured ones.

Crystal structure
Lattice parameters (Å, degrees): 5.514 6.163 8.425 84.33 82.40 89.13
Space group P1 (No. 1)
Asymmetric unit:
Li: 0.000 0.000 0.000 x1
Al: 0.391 0.329 0.880 x1
Al: 0.426 0.519 0.470 x1
Al: 0.889 0.578 0.870 x1
Al: 0.926 0.785 0.448 x1
Tl: 0.020 0.346 0.224 x1
Tl: 0.463 0.837 0.757 x1
Tl: 0.522 0.942 0.205 x1
Tl: 0.949 0.253 0.632 x1
O: 0.168 0.541 0.957 x1
O: 0.225 0.115 0.792 x1
O: 0.258 0.753 0.393 x1
O: 0.267 0.292 0.421 x1
O: 0.301 0.150 0.072 x1
O: 0.445 0.502 0.680 x1
O: 0.719 0.327 0.901 x1
O: 0.720 0.800 0.948 x1
O: 0.737 0.573 0.379 x1
O: 0.749 0.989 0.562 x1
O: 0.887 0.977 0.252 x1
O: 0.955 0.616 0.653 x1

Most intense lines, 2θ from 10° to 90°, sorted by position:
2θ (°)	I (rel.)	h k l
21.38	384	0 0 2
21.78	1000	1 -1 0
22.63	117	1 1 1
24.67	205	0 1 2
28.02	176	1 1 2
29.12	161	0 2 0
30.20	318	1 -1 2
31.24	181	-1 1 2
32.77	221	2 0 0
33.16	274	1 1 -2
36.84	148	0 1 -3
36.92	137	2 0 2

Record 3
Structure and calculated XRD peak list of LiAl4Tl4O12 (a PBE-relaxed structure; Cu Kα).
Peak positions follow from Bragg's law for the DFT cell and can differ from measured ones.

Crystal structure
Lattice parameters (Å, degrees): 5.599 7.432 5.600 90.00 97.13 90.00
Space group Pm (No. 6)
Asymmetric unit:
Li: 0.000 0.000 0.000 x1
Al: 0.287 0.253 0.237 x2
Al: 0.738 0.256 0.823 x2
Tl: 0.217 0.500 0.736 x1
Tl: 0.312 0.000 0.723 x1
Tl: 0.765 0.500 0.301 x1
Tl: 0.771 0.000 0.370 x1
O: 0.010 0.194 0.653 x2
O: 0.246 0.500 0.341 x1
O: 0.297 0.000 0.194 x1
O: 0.451 0.308 0.978 x2
O: 0.528 0.224 0.506 x2
O: 0.682 0.000 0.873 x1
O: 0.811 0.500 0.776 x1
O: 0.948 0.239 0.132 x2

Most intense lines, 2θ from 10° to 90°, sorted by position:
2θ (°)	I (rel.)	h k l
21.16	411	1 0 -1
23.98	684	0 2 0
32.20	1000	1 2 -1
34.19	526	1 2 1
37.97	108	1 0 2
40.55	458	2 2 0
42.23	132	1 2 -2
49.03	149	0 4 0
49.18	121	2 0 2
55.43	133	0 2 3
56.13	169	3 2 -1
59.93	288	2 4 0